# AgBi2F12
Theoretical PXRD pattern, Cu Kα, 1.54184 Å. Input: DFT lattice parameters and positions (GGA-PBE).
Neutral-atom scattering factors, no anomalous dispersion.

Atomic structure:
Unit cell a=5.416 b=5.749 c=9.225 alpha=76.00 beta=88.65 gamma=64.76
Fractional coordinates of all 15 atoms:
Ag (0.000, 0.000, 0.000)
Bi (0.225, 0.518, 0.727)
Bi (0.775, 0.482, 0.273)
F (0.181, 0.252, 0.278)
F (0.183, 0.263, 0.624)
F (0.186, 0.267, 0.933)
F (0.269, 0.741, 0.873)
F (0.299, 0.751, 0.548)
F (0.364, 0.713, 0.208)
F (0.636, 0.287, 0.792)
F (0.701, 0.249, 0.452)
F (0.731, 0.259, 0.127)
F (0.814, 0.733, 0.067)
F (0.817, 0.737, 0.376)
F (0.819, 0.748, 0.722)

The 6 most intense peaks (10° ≤ 2θ ≤ 90°), in order of falling intensity:
2θ/deg  d/Å  I_rel
21.5  4.125  100.0
22.9  3.890  91.3
23.0  3.862  87.3
19.9  4.455  79.4
17.6  5.026  56.6
30.0  2.976  50.4